(1)
Structure and theoretical PXRD pattern of LiZr4Se8 (a structure optimized by DFT (GGA-PBE); Cu Kα, 1.54184 Å).
Neutral-atom scattering factors, no anomalous dispersion.

```
data_LiZr4Se8
_chemical_formula_sum 'Li3 Zr12 Se24'
_cell_length_a 7.5561
_cell_length_b 7.5561
_cell_length_c 20.1520
_cell_angle_alpha 90.00
_cell_angle_beta 90.00
_cell_angle_gamma 120.00
_symmetry_space_group_name_H-M 'R -3 m'
_symmetry_Int_Tables_number 166
_symmetry_space_group_name_Hall '-R 3 2"'
loop_
_atom_site_label
_atom_site_type_symbol
_atom_site_fract_x
_atom_site_fract_y
_atom_site_fract_z
Li1 Li 0.0000 0.0000 0.0000
Zr1 Zr 0.0000 0.0000 0.5000
Zr2 Zr 0.0000 0.5000 0.5000
Se1 Se 0.0000 0.0000 0.2463
Se2 Se 0.0017 0.5009 0.2476
```

Top 12 peaks for 5 to 70 degrees two-theta, sorted by position:
- 13.2°, I 47
- 27.6°, I 19
- 28.7°, I 9
- 32.6°, I 100
- 35.3°, I 8
- 41.8°, I 10
- 45.4°, I 39
- 48.2°, I 33
- 50.2°, I 9
- 54.7°, I 7
- 59.4°, I 17
- 68.4°, I 11

---

(2)
Structure and theoretical PXRD pattern of LiZr2Se4 (a structure optimized by DFT (GGA-PBE); Cu Kα, 1.54184 Å).
Neutral-atom scattering factors, no anomalous dispersion.

```
data_LiZr2Se4
_chemical_formula_sum 'Li4 Zr8 Se16'
_cell_length_a 7.865
_cell_length_b 7.865
_cell_length_c 11.138
_cell_angle_alpha 90.00
_cell_angle_beta 90.00
_cell_angle_gamma 90.00
_symmetry_space_group_name_H-M 'I 41/a m d'
_symmetry_Int_Tables_number 141
loop_
_symmetry_equiv_pos_as_xyz
'x,y,z'
'-x,-y,-z'
'-y+1/4,x+3/4,z+1/4'
'y+1/4,-x+3/4,-z+1/4'
'-x+1/2,-y,z+1/2'
'x+1/2,y,-z+1/2'
'y+1/4,-x+1/4,z+3/4'
'-y+1/4,x+1/4,-z+3/4'
'x,-y,-z'
'-x,y,z'
'-y+1/4,-x+1/4,-z+3/4'
'y+1/4,x+1/4,z+3/4'
'-x+1/2,y,-z+1/2'
'x+1/2,-y,z+1/2'
'y+1/4,x+3/4,-z+1/4'
'-y+1/4,-x+3/4,z+1/4'
'x+1/2,y+1/2,z+1/2'
'-x+1/2,-y+1/2,-z+1/2'
'-y+3/4,x+1/4,z+3/4'
'y+3/4,-x+1/4,-z+3/4'
'-x,-y+1/2,z'
'x,y+1/2,-z'
'y+3/4,-x+3/4,z+1/4'
'-y+3/4,x+3/4,-z+1/4'
'x+1/2,-y+1/2,-z+1/2'
'-x+1/2,y+1/2,z+1/2'
'-y+3/4,-x+3/4,-z+1/4'
'y+3/4,x+3/4,z+1/4'
'-x,y+1/2,-z'
'x,-y+1/2,z'
'y+3/4,x+1/4,-z+3/4'
'-y+3/4,-x+1/4,z+3/4'
loop_
_atom_site_label
_atom_site_type_symbol
_atom_site_fract_x
_atom_site_fract_y
_atom_site_fract_z
Li1 Li 0.000 0.250 0.375
Zr1 Zr 0.000 0.000 0.000
Se1 Se 0.000 0.009 0.755
```

Top 12 peaks for 5 to 70 degrees two-theta, sorted by position:
- 13.8°, I 45
- 26.6°, I 23
- 27.8°, I 14
- 32.2°, I 100
- 35.2°, I 6
- 42.2°, I 13
- 46.1°, I 74
- 48.4°, I 11
- 54.7°, I 6
- 57.4°, I 24
- 59.3°, I 6
- 67.3°, I 8

---

(3)
Structure and theoretical PXRD pattern of LiZr3Se6 (a structure optimized by DFT (GGA-PBE); Cu Kα, 1.54184 Å).
Neutral-atom scattering factors, no anomalous dispersion.

```
data_LiZr3Se6
_chemical_formula_sum 'Li3 Zr9 Se18'
_cell_length_a 6.7306
_cell_length_b 6.7306
_cell_length_c 18.7580
_cell_angle_alpha 90.00
_cell_angle_beta 90.00
_cell_angle_gamma 120.00
_symmetry_space_group_name_H-M 'R 3'
_symmetry_Int_Tables_number 146
_symmetry_space_group_name_Hall 'R 3'
loop_
_atom_site_label
_atom_site_type_symbol
_atom_site_fract_x
_atom_site_fract_y
_atom_site_fract_z
Li1 Li 0.0000 0.0000 0.0000
Zr1 Zr 0.0000 0.0000 0.1798
Zr2 Zr 0.0000 0.0000 0.5101
Zr3 Zr 0.0000 0.0000 0.6829
Se1 Se 0.0033 0.6762 0.0956
Se2 Se 0.0185 0.3350 0.2641
```

Top 12 peaks for 5 to 70 degrees two-theta, sorted by position:
- 15.9°, I 12
- 17.9°, I 31
- 24.4°, I 12
- 30.2°, I 100
- 36.3°, I 8
- 39.3°, I 73
- 45.5°, I 6
- 46.8°, I 46
- 51.6°, I 21
- 56.6°, I 16
- 59.1°, I 8
- 62.7°, I 18

---

(4)
Structure and theoretical PXRD pattern of Li7Si (a structure optimized by DFT (GGA-PBE); Cu Kα, 1.54184 Å).
Neutral-atom scattering factors, no anomalous dispersion.

```
data_Li7Si
_chemical_formula_sum 'Li21 Si3'
_cell_length_a 4.5215
_cell_length_b 4.5215
_cell_length_c 22.4014
_cell_angle_alpha 90.00
_cell_angle_beta 90.00
_cell_angle_gamma 120.00
_symmetry_space_group_name_H-M 'R -3 m'
_symmetry_Int_Tables_number 166
_symmetry_space_group_name_Hall '-R 3 2"'
loop_
_atom_site_label
_atom_site_type_symbol
_atom_site_fract_x
_atom_site_fract_y
_atom_site_fract_z
Li1 Li 0.0000 0.0000 0.0000
Li2 Li 0.0000 0.0000 0.1309
Li3 Li 0.0000 0.0000 0.2394
Li4 Li 0.0000 0.0000 0.3821
Si1 Si 0.0000 0.0000 0.5000
```

Top 12 peaks for 5 to 70 degrees two-theta, sorted by position:
- 11.9°, I 100
- 23.1°, I 43
- 23.8°, I 14
- 24.1°, I 39
- 27.8°, I 26
- 36.3°, I 12
- 39.6°, I 64
- 39.9°, I 68
- 41.7°, I 21
- 47.0°, I 11
- 50.5°, I 11
- 57.4°, I 21

---

(5)
Structure and theoretical PXRD pattern of Li13Si4 (a structure optimized by DFT (GGA-PBE); Cu Kα, 1.54184 Å).
Neutral-atom scattering factors, no anomalous dispersion.

```
data_Li13Si4
_chemical_formula_sum 'Li26 Si8'
_cell_length_a 7.918
_cell_length_b 15.062
_cell_length_c 4.427
_cell_angle_alpha 90.00
_cell_angle_beta 90.00
_cell_angle_gamma 90.00
_symmetry_space_group_name_H-M 'P b a m'
_symmetry_Int_Tables_number 55
_symmetry_space_group_name_Hall '-P 2 2ab'
loop_
_atom_site_label
_atom_site_type_symbol
_atom_site_fract_x
_atom_site_fract_y
_atom_site_fract_z
Li1 Li 0.000 0.000 0.000
Li2 Li 0.093 0.256 0.500
Li3 Li 0.095 0.694 0.000
Li4 Li 0.096 0.894 0.500
Li5 Li 0.153 0.526 0.000
Li6 Li 0.230 0.347 0.000
Li7 Li 0.241 0.095 0.500
Si1 Si 0.073 0.431 0.500
Si2 Si 0.084 0.160 0.000
```

Top 12 peaks for 5 to 70 degrees two-theta, sorted by position:
- 21.0°, I 59
- 22.5°, I 24
- 23.3°, I 84
- 23.8°, I 100
- 25.9°, I 31
- 40.8°, I 45
- 41.3°, I 65
- 41.6°, I 89
- 41.8°, I 39
- 42.9°, I 52
- 43.6°, I 21
- 59.8°, I 27